This entry pairs a crystal structure of TbDyB2Pd2N2 with its simulated X-ray powder pattern. Radiation: Cu Ka. Structure: DFT lattice parameters and positions (GGA-PBE).
Peak positions follow from Bragg's law for the DFT cell and can differ from measured ones.

Atomic structure:
```
data_TbDyB2Pd2N2
_space_group_name_H-M_alt 'P 4 m m'
_space_group_IT_number 99
_cell_length_a 3.7048
_cell_length_b 3.7048
_cell_length_c 7.6269
_cell_angle_alpha 90.00
_cell_angle_beta 90.00
_cell_angle_gamma 90.00
loop_
_space_group_symop_operation_xyz
'x,y,z'
'-y,x,z'
'-x,-y,z'
'y,-x,z'
'-x,y,z'
'y,x,z'
'x,-y,z'
'-y,-x,z'
loop_
_atom_site_label
_atom_site_fract_x
_atom_site_fract_y
_atom_site_fract_z
Tb1 0.0000 0.0000 0.0000
Dy1 0.5000 0.5000 0.3244
B1 0.0000 0.0000 0.4890
B2 0.5000 0.5000 0.8364
Pd1 0.0000 0.5000 0.6621
N1 0.0000 0.0000 0.3018
N2 0.5000 0.5000 0.0238
```

Largest 10 diffraction maxima, in order of falling intensity, 10° ≤ 2θ ≤ 90°:
- 2θ 36.3, I 1000, hkl 1 1 1
- 2θ 26.8, I 768, hkl 1 0 1
- 2θ 41.8, I 602, hkl 1 1 2
- 2θ 33.7, I 572, hkl 1 0 2
- 2θ 35.3, I 509, hkl 0 0 3
- 2θ 49.2, I 443, hkl 2 0 0
- 2θ 62.0, I 390, hkl 2 0 3
- 2θ 60.0, I 273, hkl 1 1 4
- 2θ 61.0, I 216, hkl 2 1 2
- 2θ 56.9, I 209, hkl 2 1 1



This entry pairs a crystal structure of DyY2B2Pd2N3 with its simulated X-ray powder pattern. Radiation: Cu Ka. Structure: DFT lattice parameters and positions (GGA-PBE).
Peak positions follow from Bragg's law for the DFT cell and can differ from measured ones.

Atomic structure:
```
data_DyY2B2Pd2N3
_space_group_name_H-M_alt 'I 4/m m m'
_space_group_IT_number 139
_space_group_name_Hall '-I 4 2'
_cell_length_a 3.6455
_cell_length_b 3.6455
_cell_length_c 20.2602
_cell_angle_alpha 90.00
_cell_angle_beta 90.00
_cell_angle_gamma 90.00
loop_
_atom_site_label
_atom_site_fract_x
_atom_site_fract_y
_atom_site_fract_z
Dy1 0.0000 0.0000 0.0000
Y1 0.0000 0.0000 0.3815
B1 0.0000 0.0000 0.1844
Pd1 0.0000 0.5000 0.2500
N1 0.0000 0.0000 0.1140
N2 0.0000 0.0000 0.5000
```

Largest 10 diffraction maxima, in order of falling intensity, 10° ≤ 2θ ≤ 90°:
- 2θ 35.9, I 1000, hkl 1 1 2
- 2θ 33.1, I 655, hkl 1 0 5
- 2θ 27.8, I 627, hkl 1 0 3
- 2θ 35.4, I 531, hkl 0 0 8
- 2θ 50.0, I 447, hkl 2 0 0
- 2θ 44.2, I 424, hkl 1 1 6
- 2θ 62.8, I 384, hkl 2 0 8
- 2θ 57.9, I 362, hkl 1 1 10
- 2θ 17.5, I 307, hkl 0 0 4
- 2θ 39.2, I 304, hkl 1 1 4



This entry pairs a crystal structure of DyNbB4 with its simulated X-ray powder pattern. Radiation: Cu Ka. Structure: DFT lattice parameters and positions (GGA-PBE).
Peak positions follow from Bragg's law for the DFT cell and can differ from measured ones.

Atomic structure:
```
data_DyNbB4
_space_group_name_H-M_alt 'P 6/m m m'
_space_group_IT_number 191
_space_group_name_Hall '-P 6 2'
_cell_length_a 3.1545
_cell_length_b 3.1545
_cell_length_c 7.2712
_cell_angle_alpha 90.00
_cell_angle_beta 90.00
_cell_angle_gamma 120.00
loop_
_atom_site_label
_atom_site_fract_x
_atom_site_fract_y
_atom_site_fract_z
Dy1 0.0000 0.0000 0.0000
Nb1 0.0000 0.0000 0.5000
B1 0.3333 0.6667 0.2704
```

Largest 10 diffraction maxima, in order of falling intensity, 10° ≤ 2θ ≤ 90°:
- 2θ 41.3, I 1000, hkl 1 0 2
- 2θ 32.8, I 743, hkl 1 0 0
- 2θ 24.5, I 442, hkl 0 0 2
- 2θ 61.2, I 254, hkl 1 0 4
- 2θ 58.5, I 195, hkl 1 1 0
- 2θ 64.4, I 194, hkl 1 1 2
- 2θ 74.2, I 174, hkl 2 0 2
- 2θ 80.6, I 150, hkl 1 1 4
- 2θ 12.2, I 138, hkl 0 0 1
- 2θ 88.2, I 112, hkl 1 0 6



This entry pairs a crystal structure of Dy3Ni19B10 with its simulated X-ray powder pattern. Radiation: Cu Ka. Structure: DFT lattice parameters and positions (GGA-PBE).
Peak positions follow from Bragg's law for the DFT cell and can differ from measured ones.

Atomic structure:
```
data_Dy3Ni19B10
_space_group_name_H-M_alt 'C 1 2/m 1'
_space_group_IT_number 12
_cell_length_a 13.1888
_cell_length_b 8.7353
_cell_length_c 5.7766
_cell_angle_alpha 90.00
_cell_angle_beta 91.42
_cell_angle_gamma 90.00
loop_
_space_group_symop_operation_xyz
'x,y,z'
'-x,-y,-z'
'-x,y,-z'
'x,-y,z'
'x+1/2,y+1/2,z'
'-x+1/2,-y+1/2,-z'
'-x+1/2,y+1/2,-z'
'x+1/2,-y+1/2,z'
loop_
_atom_site_label
_atom_site_fract_x
_atom_site_fract_y
_atom_site_fract_z
Dy1 0.0000 0.0000 0.0000
Dy2 0.1261 0.5000 0.3871
Ni1 0.0000 0.0000 0.5000
Ni2 0.0294 0.2589 0.6989
Ni3 0.1220 0.5000 0.8749
Ni4 0.1279 0.2498 0.0742
Ni5 0.1624 0.0000 0.7029
Ni6 0.1821 0.0000 0.2710
Ni7 0.2185 0.2637 0.6981
B1 0.0000 0.3839 0.0000
B2 0.1179 0.1827 0.4310
B3 0.2458 0.1031 0.9751
```

Largest 10 diffraction maxima, in order of falling intensity, 10° ≤ 2θ ≤ 90°:
- 2θ 41.3, I 1000, hkl 0 4 0
- 2θ 40.1, I 933, hkl 2 2 2
- 2θ 38.3, I 597, hkl 3 1 -2
- 2θ 35.6, I 484, hkl 5 1 0
- 2θ 47.2, I 466, hkl 0 0 3
- 2θ 48.7, I 440, hkl 3 3 -2
- 2θ 37.3, I 406, hkl 4 2 -1
- 2θ 37.9, I 402, hkl 4 2 1
- 2θ 46.2, I 367, hkl 4 2 -2
- 2θ 46.5, I 363, hkl 5 3 0



This entry pairs a crystal structure of Dy3Ni7B2 with its simulated X-ray powder pattern. Radiation: Cu Ka. Structure: DFT lattice parameters and positions (GGA-PBE).
Peak positions follow from Bragg's law for the DFT cell and can differ from measured ones.

Atomic structure:
```
data_Dy3Ni7B2
_space_group_name_H-M_alt 'P 63/m m c'
_space_group_IT_number 194
_space_group_name_Hall '-P 6c 2c'
_cell_length_a 5.0903
_cell_length_b 5.0903
_cell_length_c 14.3336
_cell_angle_alpha 90.00
_cell_angle_beta 90.00
_cell_angle_gamma 120.00
loop_
_atom_site_label
_atom_site_fract_x
_atom_site_fract_y
_atom_site_fract_z
Dy1 0.3333 0.6667 0.0317
Dy2 0.3333 0.6667 0.2500
Ni1 0.0000 0.0000 0.0000
Ni2 0.1655 0.3311 0.6495
B1 0.0000 0.0000 0.2500
B2 0.3333 0.6667 0.7500
```

Largest 10 diffraction maxima, in order of falling intensity, 10° ≤ 2θ ≤ 90°:
- 2θ 37.4, I 1000, hkl 1 0 5
- 2θ 43.6, I 760, hkl 1 1 4
- 2θ 41.4, I 573, hkl 2 0 1
- 2θ 35.3, I 394, hkl 1 1 0
- 2θ 64.7, I 367, hkl 2 1 5
- 2θ 73.3, I 235, hkl 2 0 9
- 2θ 74.6, I 203, hkl 2 2 0
- 2θ 40.9, I 189, hkl 2 0 0
- 2θ 69.1, I 187, hkl 3 0 4
- 2θ 32.2, I 172, hkl 1 0 4



This entry pairs a crystal structure of DyNi12B6 with its simulated X-ray powder pattern. Radiation: Cu Ka. Structure: DFT lattice parameters and positions (GGA-PBE).
Peak positions follow from Bragg's law for the DFT cell and can differ from measured ones.

Atomic structure:
```
data_DyNi12B6
_space_group_name_H-M_alt 'C m c 21'
_space_group_IT_number 36
_cell_length_a 9.5609
_cell_length_b 7.3736
_cell_length_c 10.9848
_cell_angle_alpha 90.00
_cell_angle_beta 90.00
_cell_angle_gamma 90.00
loop_
_space_group_symop_operation_xyz
'x,y,z'
'-x,-y,z+1/2'
'-x,y,z'
'x,-y,z+1/2'
'x+1/2,y+1/2,z'
'-x+1/2,-y+1/2,z+1/2'
'-x+1/2,y+1/2,z'
'x+1/2,-y+1/2,z+1/2'
loop_
_atom_site_label
_atom_site_fract_x
_atom_site_fract_y
_atom_site_fract_z
Dy1 0.0000 0.1659 0.0000
Ni1 0.0000 0.2175 0.3969
Ni2 0.0000 0.4346 0.5763
Ni3 0.1305 0.3254 0.7620
Ni4 0.1307 0.3433 0.2194
Ni5 0.1318 0.0132 0.2397
Ni6 0.1831 0.1862 0.5583
Ni7 0.1945 0.4645 0.4278
B1 0.0000 0.1641 0.6565
B2 0.0000 0.4876 0.3418
B3 0.2064 0.1949 0.3728
B4 0.2153 0.4580 0.6106
```

Largest 10 diffraction maxima, in order of falling intensity, 10° ≤ 2θ ≤ 90°:
- 2θ 41.3, I 1000, hkl 1 3 2
- 2θ 41.2, I 742, hkl 4 0 2
- 2θ 39.4, I 680, hkl 3 1 3
- 2θ 31.7, I 595, hkl 2 2 1
- 2θ 34.8, I 463, hkl 2 2 2
- 2θ 44.0, I 410, hkl 1 1 5
- 2θ 32.6, I 275, hkl 0 0 4
- 2θ 61.4, I 275, hkl 5 3 0
- 2θ 58.1, I 247, hkl 3 3 4
- 2θ 34.5, I 187, hkl 0 2 3



This entry pairs a crystal structure of Dy3Ni13B2 with its simulated X-ray powder pattern. Radiation: Cu Ka. Structure: DFT lattice parameters and positions (GGA-PBE).
Peak positions follow from Bragg's law for the DFT cell and can differ from measured ones.

Atomic structure:
```
data_Dy3Ni13B2
_space_group_name_H-M_alt 'P 6/m m m'
_space_group_IT_number 191
_space_group_name_Hall '-P 6 2'
_cell_length_a 4.9515
_cell_length_b 4.9515
_cell_length_c 10.9248
_cell_angle_alpha 90.00
_cell_angle_beta 90.00
_cell_angle_gamma 120.00
loop_
_atom_site_label
_atom_site_fract_x
_atom_site_fract_y
_atom_site_fract_z
Dy1 0.0000 0.0000 0.0000
Dy2 0.0000 0.0000 0.3268
Ni1 0.0000 0.5000 0.1330
Ni2 0.0000 0.5000 0.5000
Ni3 0.3333 0.6667 0.3186
B1 0.3333 0.6667 0.0000
```

Largest 10 diffraction maxima, in order of falling intensity, 10° ≤ 2θ ≤ 90°:
- 2θ 44.2, I 1000, hkl 1 1 3
- 2θ 32.3, I 764, hkl 1 0 3
- 2θ 42.1, I 596, hkl 2 0 0
- 2θ 36.3, I 332, hkl 1 1 0
- 2θ 70.8, I 234, hkl 3 0 3
- 2θ 62.7, I 227, hkl 2 1 3
- 2θ 77.0, I 193, hkl 2 2 0
- 2θ 63.4, I 148, hkl 1 1 6
- 2θ 67.5, I 147, hkl 2 0 6
- 2θ 50.1, I 142, hkl 0 0 6



This entry pairs a crystal structure of PrDyNi8B2 with its simulated X-ray powder pattern. Radiation: Cu Ka. Structure: DFT lattice parameters and positions (GGA-PBE).
Peak positions follow from Bragg's law for the DFT cell and can differ from measured ones.

Atomic structure:
```
data_PrDyNi8B2
_space_group_name_H-M_alt 'P 6/m m m'
_space_group_IT_number 191
_space_group_name_Hall '-P 6 2'
_cell_length_a 5.0312
_cell_length_b 5.0312
_cell_length_c 7.0038
_cell_angle_alpha 90.00
_cell_angle_beta 90.00
_cell_angle_gamma 120.00
loop_
_atom_site_label
_atom_site_fract_x
_atom_site_fract_y
_atom_site_fract_z
Pr1 0.0000 0.0000 0.0000
Dy1 0.0000 0.0000 0.5000
Ni1 0.0000 0.5000 0.2958
Ni2 0.3333 0.6667 0.0000
B1 0.3333 0.6667 0.5000
```

Largest 10 diffraction maxima, in order of falling intensity, 10° ≤ 2θ ≤ 90°:
- 2θ 44.3, I 1000, hkl 1 1 2
- 2θ 32.8, I 857, hkl 1 0 2
- 2θ 41.4, I 757, hkl 2 0 0
- 2θ 35.7, I 302, hkl 1 1 0
- 2θ 62.3, I 270, hkl 2 1 2
- 2θ 70.1, I 242, hkl 3 0 2
- 2θ 75.6, I 215, hkl 2 2 0
- 2θ 64.9, I 158, hkl 1 1 4
- 2θ 68.8, I 130, hkl 2 0 4
- 2θ 38.6, I 125, hkl 0 0 3



This entry pairs a crystal structure of SmDyNi2B4 with its simulated X-ray powder pattern. Radiation: Cu Ka. Structure: DFT lattice parameters and positions (GGA-PBE).
Peak positions follow from Bragg's law for the DFT cell and can differ from measured ones.

Atomic structure:
```
data_SmDyNi2B4
_space_group_name_H-M_alt 'P 4 m m'
_space_group_IT_number 99
_cell_length_a 3.7073
_cell_length_b 3.7073
_cell_length_c 7.8157
_cell_angle_alpha 90.00
_cell_angle_beta 90.00
_cell_angle_gamma 90.00
loop_
_space_group_symop_operation_xyz
'x,y,z'
'-y,x,z'
'-x,-y,z'
'y,-x,z'
'-x,y,z'
'y,x,z'
'x,-y,z'
'-y,-x,z'
loop_
_atom_site_label
_atom_site_fract_x
_atom_site_fract_y
_atom_site_fract_z
Sm1 0.0000 0.0000 0.0000
Dy1 0.5000 0.5000 0.6403
Ni1 0.0000 0.5000 0.3227
B1 0.0000 0.0000 0.4512
B2 0.0000 0.0000 0.6601
B3 0.5000 0.5000 0.1909
B4 0.5000 0.5000 0.9807
```

Largest 10 diffraction maxima, in order of falling intensity, 10° ≤ 2θ ≤ 90°:
- 2θ 26.6, I 1000, hkl 1 0 1
- 2θ 41.5, I 542, hkl 1 1 2
- 2θ 33.3, I 513, hkl 1 0 2
- 2θ 36.1, I 483, hkl 1 1 1
- 2θ 34.4, I 383, hkl 0 0 3
- 2θ 49.2, I 322, hkl 2 0 0
- 2θ 61.4, I 279, hkl 2 0 3
- 2θ 56.8, I 261, hkl 2 1 1
- 2θ 53.0, I 208, hkl 1 0 4
- 2θ 34.2, I 184, hkl 1 1 0



This entry pairs a crystal structure of Dy4B6O15 with its simulated X-ray powder pattern. Radiation: Cu Ka. Structure: DFT lattice parameters and positions (GGA-PBE).
Peak positions follow from Bragg's law for the DFT cell and can differ from measured ones.

Atomic structure:
```
data_Dy4B6O15
_space_group_name_H-M_alt 'C 1 2/c 1'
_space_group_IT_number 15
_cell_length_a 11.6399
_cell_length_b 4.3599
_cell_length_c 18.7624
_cell_angle_alpha 90.00
_cell_angle_beta 96.51
_cell_angle_gamma 90.00
loop_
_space_group_symop_operation_xyz
'x,y,z'
'-x,-y,-z'
'-x,y,-z+1/2'
'x,-y,z+1/2'
'x+1/2,y+1/2,z'
'-x+1/2,-y+1/2,-z'
'-x+1/2,y+1/2,-z+1/2'
'x+1/2,-y+1/2,z+1/2'
loop_
_atom_site_label
_atom_site_fract_x
_atom_site_fract_y
_atom_site_fract_z
Dy1 0.1337 0.2042 0.0990
Dy2 0.1373 0.2127 0.3040
B1 0.0679 0.2712 0.6947
B2 0.0962 0.2956 0.9126
B3 0.1690 0.1902 0.4745
O1 0.0000 0.1324 0.7500
O2 0.0148 0.1761 0.6212
O3 0.0649 0.4010 0.1970
O4 0.0836 0.3715 0.4301
O5 0.1277 0.1226 0.9791
O6 0.1796 0.2624 0.8607
O7 0.1818 0.1318 0.7040
O8 0.2092 0.2963 0.5498
```

Largest 10 diffraction maxima, in order of falling intensity, 10° ≤ 2θ ≤ 90°:
- 2θ 30.9, I 1000, hkl 4 0 0
- 2θ 22.5, I 551, hkl 1 1 1
- 2θ 31.9, I 484, hkl 1 1 -5
- 2θ 33.2, I 433, hkl 1 1 5
- 2θ 23.1, I 334, hkl 2 0 -4
- 2θ 25.9, I 273, hkl 2 0 4
- 2θ 41.4, I 217, hkl 0 2 0
- 2θ 31.1, I 215, hkl 2 0 -6
- 2θ 53.2, I 207, hkl 5 1 5
- 2θ 48.6, I 205, hkl 5 1 -5